# Dy2Tm5Th3
Simulated powder X-ray diffraction pattern, Cu Kα (λ = 1.5418 Å). Input: a DFT-relaxed cell (GGA-PBE, Alexandria).
Neutral-atom scattering factors, no anomalous dispersion.

Atomic structure:
abc: 9.868 9.868 8.980
angles: 108.54 108.54 114.87
Atoms (fractional coordinates):
Dy 0.027 0.267 0.041
Dy 0.267 0.027 0.541
Dy 0.733 0.973 0.459
Dy 0.973 0.733 0.959
Tm 0.031 0.969 0.750
Tm 0.124 0.367 0.743
Tm 0.220 0.780 0.750
Tm 0.367 0.124 0.243
Tm 0.470 0.530 0.250
Tm 0.530 0.470 0.750
Tm 0.633 0.876 0.757
Tm 0.780 0.220 0.250
Tm 0.876 0.633 0.257
Tm 0.969 0.031 0.250
Th 0.239 0.490 0.472
Th 0.272 0.728 0.250
Th 0.490 0.239 0.972
Th 0.510 0.761 0.028
Th 0.728 0.272 0.750
Th 0.761 0.510 0.528

Largest 10 diffraction maxima, by angle, 5° ≤ 2θ ≤ 70°:
| 2θ (°) | I (rel.) |
| --- | --- |
| 29.95 | 77 |
| 31.78 | 100 |
| 32.79 | 23 |
| 33.75 | 43 |
| 34.64 | 15 |
| 36.56 | 23 |
| 50.09 | 17 |
| 59.13 | 17 |
| 61.77 | 18 |
| 64.04 | 24 |